Calculated powder XRD pattern
Compound: CoP2O7
Radiation: a wavelength of 1.5418 Å
Structure: a DFT-relaxed cell (PBE+U, the Materials Project)
Lines closer than 0.1° are merged.

Peak list (10 most intense, 2θ from 15° to 90°, sorted by position)
hkl 0 1 1, 2θ = 15.24°, rel. 39; hkl 1 1 0, 2θ = 17.86°, rel. 100; hkl 1 1 -2, 2θ = 23.48°, rel. 31; hkl 2 0 -2, 2θ = 28.54°, rel. 34; hkl 1 2 1, 2θ = 30.27°, rel. 17; hkl 1 1 2, 2θ = 30.64°, rel. 33; hkl 0 2 2, 2θ = 30.76°, rel. 55; hkl 2 2 0, 2θ = 36.18°, rel. 12; hkl 3 1 -2, 2θ = 41.96°, rel. 11; hkl 1 3 2, 2θ = 45.16°, rel. 12

Lattice parameters (Å, degrees): 6.814 7.825 9.214 90.00 109.46 90.00
Sites, in units of the cell vectors:
Co (0.219, 0.222, 0.005)
Co (0.219, 0.278, 0.505)
Co (0.781, 0.722, 0.495)
Co (0.781, 0.778, 0.995)
P (0.033, 0.595, 0.296)
P (0.033, 0.905, 0.796)
P (0.430, 0.037, 0.796)
P (0.430, 0.463, 0.296)
P (0.570, 0.537, 0.704)
P (0.570, 0.963, 0.204)
P (0.967, 0.095, 0.204)
P (0.967, 0.405, 0.704)
O (0.017, 0.241, 0.111)
O (0.017, 0.259, 0.611)
O (0.020, 0.082, 0.865)
O (0.020, 0.418, 0.365)
O (0.104, 0.092, 0.376)
O (0.104, 0.408, 0.876)
O (0.269, 0.615, 0.297)
O (0.269, 0.885, 0.797)
O (0.354, 0.047, 0.151)
O (0.354, 0.453, 0.651)
O (0.397, 0.105, 0.634)
O (0.397, 0.395, 0.134)
O (0.416, 0.180, 0.909)
O (0.416, 0.320, 0.409)
O (0.584, 0.680, 0.591)
O (0.584, 0.820, 0.091)
O (0.603, 0.605, 0.866)
O (0.603, 0.895, 0.366)
O (0.646, 0.547, 0.349)
O (0.646, 0.953, 0.849)
O (0.731, 0.115, 0.203)
O (0.731, 0.385, 0.703)
O (0.896, 0.592, 0.124)
O (0.896, 0.908, 0.624)
O (0.980, 0.582, 0.635)
O (0.980, 0.918, 0.135)
O (0.983, 0.741, 0.389)
O (0.983, 0.759, 0.889)